# MnCoO4
Calculated powder X-ray diffraction pattern, Cu Kα (λ = 1.5418 Å). Input: a DFT-relaxed cell (GGA+U, Alexandria).

Atomic structure:
Lattice parameters (Å, degrees): 6.1803 6.2331 2.9460 90.00 90.00 90.00
Space group Cmmm (No. 65)
Asymmetric unit:
Mn 0.0000 0.0000 0.0000 (multiplicity 2)
Co 0.0000 0.5000 0.5000 (multiplicity 2)
O 0.0000 0.3095 0.0000 (multiplicity 4)
O 0.1993 0.0000 0.5000 (multiplicity 4)

Largest 6 diffraction maxima, in order of rising 2θ, 15° ≤ 2θ ≤ 90°:
- hkl 0 2 0, 2θ 28.6, I 88.0
- hkl 2 0 0, 2θ 28.9, I 82.8
- hkl 1 1 1, 2θ 36.7, I 100.0
- hkl 1 3 1, 2θ 56.2, I 52.7
- hkl 3 1 1, 2θ 56.5, I 48.9
- hkl 3 3 1, 2θ 72.1, I 33.9